1.
# CaS3O
Calculated X-ray powder pattern, λ = 1.5418 Å (Cu Kα). Input: DFT lattice parameters and positions (GGA-PBE).

Peak list (8 most intense, 2θ from 10° to 80°, by angle)
| 2θ (°) | I/Imax |
| --- | --- |
| 20.4 | 2 |
| 29.0 | 12 |
| 35.7 | 100 |
| 41.5 | 75 |
| 51.4 | 4 |
| 60.1 | 44 |
| 71.9 | 34 |
| 75.6 | 14 |

Cell and atoms:
```
CaS3O
1.0
4.3559 0.0000 0.0000
0.0000 4.3559 0.0000
0.0000 0.0000 4.3559
Ca S O
1 3 1
Direct
0.0000 0.0000 0.0000
0.0000 0.5000 0.5000
0.5000 0.0000 0.5000
0.5000 0.5000 0.0000
0.5000 0.5000 0.5000
```

2.
# CaSb10S6O10
Calculated X-ray powder pattern, λ = 1.5418 Å (Cu Kα). Input: DFT lattice parameters and positions (GGA-PBE).

Peak list (8 most intense, 2θ from 10° to 80°, by angle)
| 2θ (°) | I/Imax |
| --- | --- |
| 19.4 | 42 |
| 20.1 | 29 |
| 22.3 | 46 |
| 25.5 | 73 |
| 26.7 | 100 |
| 31.5 | 41 |
| 32.1 | 53 |
| 34.2 | 59 |

Cell and atoms:
```
CaSb10S6O10
1.0
13.2719 -2.8606 0.0000
13.2719 2.8606 0.0000
-8.8102 0.0000 15.2214
Ca Sb S O
2 20 12 20
Direct
0.0267 0.9733 0.7500
0.9733 0.0267 0.2500
0.0149 0.8746 0.9090
0.0780 0.2677 0.4559
0.1254 0.9851 0.5910
0.1476 0.3763 0.8418
0.2677 0.0780 0.9559
0.3153 0.4969 0.2510
0.3763 0.1476 0.3418
0.4222 0.4665 0.5863
0.4665 0.4222 0.0863
0.4969 0.3153 0.7510
0.5031 0.6847 0.2490
0.5335 0.5778 0.9137
0.5778 0.5335 0.4137
0.6237 0.8524 0.6582
0.6847 0.5031 0.7490
0.7323 0.9220 0.0441
0.8524 0.6237 0.1582
0.8746 0.0149 0.4090
0.9220 0.7323 0.5441
0.9851 0.1254 0.0910
0.0456 0.5616 0.3272
0.1271 0.2040 0.3089
0.2040 0.1271 0.8089
0.2899 0.3020 0.0213
0.3020 0.2899 0.5213
0.4384 0.9544 0.1728
0.5616 0.0456 0.8272
0.6980 0.7101 0.4787
0.7101 0.6980 0.9787
0.7960 0.8729 0.1911
0.8729 0.7960 0.6911
0.9544 0.4384 0.6728
0.1227 0.7989 0.3383
0.1253 0.7030 0.6250
0.1345 0.8079 0.5125
0.1921 0.8655 0.9875
0.2011 0.8773 0.1617
0.2473 0.6294 0.1758
0.2970 0.8747 0.8750
0.3294 0.6188 0.8250
0.3706 0.7527 0.3242
0.3812 0.6706 0.6750
0.6188 0.3294 0.3250
0.6294 0.2473 0.6758
0.6706 0.3812 0.1750
0.7030 0.1253 0.1250
0.7527 0.3706 0.8242
0.7989 0.1227 0.8383
0.8079 0.1345 0.0125
0.8655 0.1921 0.4875
0.8747 0.2970 0.3750
0.8773 0.2011 0.6617
```

3.
# SrCaS2O8
Calculated X-ray powder pattern, λ = 1.5418 Å (Cu Kα). Input: DFT lattice parameters and positions (GGA-PBE).

Peak list (8 most intense, 2θ from 10° to 80°, by angle)
| 2θ (°) | I/Imax |
| --- | --- |
| 11.8 | 37 |
| 19.3 | 51 |
| 22.6 | 100 |
| 30.8 | 86 |
| 33.7 | 69 |
| 35.8 | 29 |
| 41.6 | 32 |
| 46.2 | 52 |

Cell and atoms:
```
SrCaS2O8
1.0
5.3229 0.0000 0.0000
-2.6614 4.6097 0.0000
0.0000 0.0000 7.4931
Sr Ca S O
1 1 2 8
Direct
0.0000 0.0000 0.0000
0.0000 0.0000 0.5000
0.3333 0.6667 0.7839
0.6667 0.3333 0.2161
0.1791 0.3617 0.7169
0.1826 0.8209 0.7169
0.3333 0.6667 0.9809
0.3617 0.1826 0.2831
0.6383 0.8174 0.7169
0.6667 0.3333 0.0191
0.8174 0.1791 0.2831
0.8209 0.6383 0.2831
```